# Mg2AlPtO6
Calculated X-ray powder pattern, Cu Kα. Input: the PBE geometry in Alexandria.
Neutral-atom scattering factors, no anomalous dispersion.

Atomic structure:
Unit cell a=5.4836 b=5.4836 c=3.9281 alpha=90.00 beta=90.00 gamma=90.00
Sites, in units of the cell vectors:
Mg: 0.0000 0.5000 0.0000
Mg: 0.5000 0.0000 0.0000
Al: 0.0000 0.0000 0.7171
Pt: 0.5000 0.5000 0.7540
O: 0.0000 0.0000 0.2525
O: 0.2428 0.2428 0.8008
O: 0.2428 0.7572 0.8008
O: 0.5000 0.5000 0.2602
O: 0.7572 0.2428 0.8008
O: 0.7572 0.7572 0.8008

Most intense lines, 2θ from 10° to 90°, in order of falling intensity:
2θ (°)	d (Å)	I_rel
16.16	5.484	100
22.94	3.878	73
22.64	3.928	63
27.94	3.193	57
32.44	2.760	55
32.66	2.742	41

# MgScAlO4
Calculated X-ray powder pattern, Cu Kα. Input: the PBE geometry in Alexandria.
Neutral-atom scattering factors, no anomalous dispersion.

Atomic structure:
Unit cell a=8.5713 b=8.5713 c=8.5713 alpha=22.00 beta=22.00 gamma=22.00
Sites, in units of the cell vectors:
Mg: 0.0000 0.0000 0.0000
Sc: 0.2126 0.2126 0.2126
Al: 0.4304 0.4304 0.4304
O: 0.0964 0.0964 0.0964
O: 0.3553 0.3553 0.3553
O: 0.5048 0.5048 0.5048
O: 0.9203 0.9203 0.9203

Most intense lines, 2θ from 10° to 90°, in order of falling intensity:
2θ (°)	d (Å)	I_rel
31.79	2.814	100
56.26	1.635	85
34.75	2.581	64
48.48	1.878	52
32.12	2.787	46
61.22	1.514	43

> Which formula does entry 1 have?

Mg2AlPtO6